The following is a calculated XRD peak list of CaSm6. It was derived from a DFT-relaxed cell (GGA-PBE, Alexandria), using Cu Kα X-rays.

Largest 12 diffraction maxima, by angle, 2θ = 10–90°:
2θ/deg  I/Imax  h k l
15.19  100  1 1 0
21.55  41  2 0 0
26.47  98  2 1 1
30.66  19  2 2 0
34.39  28  3 1 0
37.79  80  2 2 2
40.94  61  3 2 1
43.91  47  4 0 0
56.93  20  5 1 0
63.84  31  4 4 0
70.37  18  6 1 1
76.64  31  6 2 2

Atomic structure:
Cell lengths 8.248, 8.248, 8.248 Å; angles 90.00, 90.00, 90.00 degrees
Space group Im-3m (No. 229)
Unique sites:
Ca1 0.000 0.000 0.000
Sm1 0.000 0.250 0.500